Simulated PXRD pattern
Compound: GdHoCo2Ge2
Radiation: Cu Ka
Structure: the PBE geometry in OQMD
Intensities are scaled so that the largest is 100.

abc: 4.0737 4.0737 6.6245
angles: 90.00 90.00 90.00
Positions (direct):
Gd  0.0000  0.0000  0.0000
Ho  0.5000  0.5000  0.3736
Co  0.0000  0.5000  0.6816
Co  0.5000  0.0000  0.6816
Ge  0.0000  0.0000  0.4802
Ge  0.5000  0.5000  0.8825

The 12 most intense peaks (10 to 80 degrees two-theta), low angle first:
Position (°2θ), intensity
25.67, 36
26.92, 18
31.05, 59
33.94, 32
34.91, 72
41.55, 100
44.48, 65
57.76, 34
60.33, 32
64.72, 21
77.96, 30
79.90, 28

Simulated PXRD pattern
Compound: Hf3Cu2As4Pd2
Radiation: Cu Ka
Structure: the PBE geometry in OQMD
Intensities are scaled so that the largest is 100.

abc: 6.5240 3.8818 7.6800
angles: 90.00 90.91 90.00
Positions (direct):
Hf  0.0000  0.0000  0.0000
Hf  0.0819  0.5000  0.3533
Hf  0.5024  0.0000  0.8650
Cu  0.1617  0.5000  0.7268
Cu  0.9122  0.0000  0.6145
As  0.2922  0.5000  0.0362
As  0.2999  0.0000  0.5644
As  0.7860  0.5000  0.7859
As  0.7877  0.0000  0.3184
Pd  0.3924  0.0000  0.2501
Pd  0.6964  0.5000  0.1191

The 12 most intense peaks (10 to 80 degrees two-theta), low angle first:
Position (°2θ), intensity
11.52, 42
35.51, 68
35.81, 31
35.96, 54
37.75, 40
38.01, 100
42.29, 40
43.04, 17
44.44, 19
46.81, 46
61.77, 18
69.11, 18

Simulated PXRD pattern
Compound: Li3Zr2O6
Radiation: Cu Ka
Structure: the PBE geometry in OQMD
Intensities are scaled so that the largest is 100.

abc: 5.4346 5.4346 5.1694
angles: 101.16 101.16 118.92
Positions (direct):
Li  0.0000  0.0000  0.0000
Li  0.5003  0.4997  0.5000
Li  0.8587  0.1413  0.5000
Zr  0.3196  0.6804  0.0000
Zr  0.6571  0.3429  0.0000
O  0.0731  0.4072  0.2204
O  0.2708  0.2925  0.7522
O  0.4289  0.0981  0.2308
O  0.5928  0.9269  0.7796
O  0.7075  0.7292  0.2478
O  0.9019  0.5711  0.7692

The 12 most intense peaks (10 to 80 degrees two-theta), low angle first:
Position (°2θ), intensity
18.56, 100
18.96, 19
19.80, 42
22.19, 25
26.66, 23
32.88, 21
33.66, 37
35.16, 17
40.72, 29
41.99, 54
58.21, 20
61.62, 16